Record 1
Diffraction record for KGeH3. The powder diffraction line list is computed, not measured: it uses the PBE geometry in Alexandria and Cu Kα (λ = 1.5418 Å).

Top 10 peaks for 2θ = 10–90°, most intense first:
two_theta  intensity
27.22  100
30.06  77
49.90  35
40.99  32
48.10  19
20.17  19
65.00  15
55.06  12
69.43  12
56.14  12

Cell: 5.9973 5.9973 5.9973 Å, 66.23 66.23 66.23°
Fractional positions:
K (0.0000, 0.0000, 0.0000)
K (0.5000, 0.5000, 0.5000)
Ge (0.2555, 0.2555, 0.2555)
Ge (0.7555, 0.7555, 0.7555)
H (0.1646, 0.9992, 0.4059)
H (0.4059, 0.1646, 0.9992)
H (0.4992, 0.6646, 0.9059)
H (0.6646, 0.9059, 0.4992)
H (0.9059, 0.4992, 0.6646)
H (0.9992, 0.4059, 0.1646)

---

Record 2
Diffraction record for KGeH4. The powder diffraction line list is computed, not measured: it uses the PBE geometry in Alexandria and Cu Kα (λ = 1.5418 Å).

Top 10 peaks for 2θ = 10–90°, most intense first:
two_theta  intensity
27.96  100
57.83  36
34.47  29
27.85  27
44.88  27
49.33  20
18.40  12
72.51  12
79.54  9
49.54  9

Cell: 7.3890 7.3890 7.3890 Å, 138.76 138.76 59.74°
Fractional positions:
K (0.3750, 0.6250, 0.7500)
K (0.6250, 0.3750, 0.2500)
Ge (0.1250, 0.8750, 0.2500)
Ge (0.8750, 0.1250, 0.7500)
H (0.1771, 0.2131, 0.5361)
H (0.1771, 0.6410, 0.9639)
H (0.2131, 0.1771, 0.0361)
H (0.3590, 0.8229, 0.5361)
H (0.6410, 0.1771, 0.4639)
H (0.7869, 0.8229, 0.9639)
H (0.8229, 0.3590, 0.0361)
H (0.8229, 0.7869, 0.4639)

---

Record 3
Diffraction record for KGeH. The powder diffraction line list is computed, not measured: it uses the PBE geometry in Alexandria and Cu Kα (λ = 1.5418 Å).

Top 10 peaks for 2θ = 10–90°, most intense first:
two_theta  intensity
16.62  100
29.58  94
30.27  85
35.01  77
32.59  77
17.97  71
18.34  59
46.94  50
46.47  50
25.05  47

Cell: 5.4963 5.1269 5.9414 Å, 90.00 116.12 90.00°
Fractional positions:
K (0.1601, 0.0000, 0.3132)
K (0.8399, 0.5000, 0.6868)
Ge (0.4759, 0.9822, 0.9589)
Ge (0.5241, 0.4822, 0.0411)
H (0.3392, 0.4859, 0.1950)
H (0.6608, 0.9859, 0.8050)

---

Record 4
Diffraction record for K4GeH4N2O3. The powder diffraction line list is computed, not measured: it uses the PBE geometry in Alexandria and Cu Kα (λ = 1.5418 Å).

Top 10 peaks for 2θ = 10–90°, most intense first:
two_theta  intensity
35.48  100
28.95  78
32.00  59
15.84  56
28.16  55
30.05  46
16.64  45
31.28  40
33.27  30
14.97  29

Cell: 11.0603 6.5745 12.3523 Å, 90.00 105.61 90.00°
Fractional positions:
K (0.0161, 0.1216, 0.3535)
K (0.0161, 0.3784, 0.8535)
K (0.1354, 0.0992, 0.1130)
K (0.1354, 0.4008, 0.6130)
K (0.3001, 0.6129, 0.1742)
K (0.3001, 0.8871, 0.6742)
K (0.3504, 0.1929, 0.3973)
K (0.3504, 0.3071, 0.8973)
K (0.6496, 0.6929, 0.1027)
K (0.6496, 0.8071, 0.6027)
K (0.6999, 0.1129, 0.3258)
K (0.6999, 0.3871, 0.8258)
K (0.8646, 0.5992, 0.3870)
K (0.8646, 0.9008, 0.8870)
K (0.9839, 0.6216, 0.1465)
K (0.9839, 0.8784, 0.6465)
Ge (0.1975, 0.6955, 0.4001)
Ge (0.1975, 0.8045, 0.9001)
Ge (0.8025, 0.1955, 0.0999)
Ge (0.8025, 0.3045, 0.5999)
H (0.3848, 0.5511, 0.5375)
H (0.3848, 0.9489, 0.0375)
H (0.4270, 0.0879, 0.1911)
H (0.4270, 0.4121, 0.6911)
H (0.4284, 0.6838, 0.4421)
H (0.4284, 0.8162, 0.9421)
H (0.4764, 0.1902, 0.6698)
H (0.4764, 0.3098, 0.1698)
H (0.5236, 0.6902, 0.8302)
H (0.5236, 0.8098, 0.3302)
H (0.5716, 0.1838, 0.0579)
H (0.5716, 0.3162, 0.5579)
H (0.5730, 0.5879, 0.3089)
H (0.5730, 0.9121, 0.8089)
H (0.6152, 0.0511, 0.9625)
H (0.6152, 0.4489, 0.4625)
N (0.3700, 0.6880, 0.4945)
N (0.3700, 0.8120, 0.9945)
N (0.3943, 0.2275, 0.1575)
N (0.3943, 0.2725, 0.6575)
N (0.6057, 0.7275, 0.3425)
N (0.6057, 0.7725, 0.8425)
N (0.6300, 0.1880, 0.0055)
N (0.6300, 0.3120, 0.5055)
O (0.1047, 0.7345, 0.9912)
O (0.1047, 0.7655, 0.4912)
O (0.1564, 0.0460, 0.8364)
O (0.1564, 0.4540, 0.3364)
O (0.2002, 0.6169, 0.7980)
O (0.2002, 0.8831, 0.2980)
O (0.7998, 0.1169, 0.7020)
O (0.7998, 0.3831, 0.2020)
O (0.8436, 0.5460, 0.6636)
O (0.8436, 0.9540, 0.1636)
O (0.8953, 0.2345, 0.5088)
O (0.8953, 0.2655, 0.0088)

---

Record 5
Diffraction record for K3Ge7HO20. The powder diffraction line list is computed, not measured: it uses the PBE geometry in Alexandria and Cu Kα (λ = 1.5418 Å).

Top 10 peaks for 2θ = 10–90°, most intense first:
two_theta  intensity
11.35  100
28.12  29
32.66  19
32.33  15
19.80  15
36.34  15
22.82  12
34.52  11
52.74  10
36.57  9

Cell: 7.7946 7.7946 7.7946 Å, 89.42 89.42 89.42°
Fractional positions:
K (0.1752, 0.1752, 0.6495)
K (0.1752, 0.6495, 0.1752)
K (0.6495, 0.1752, 0.1752)
Ge (0.1713, 0.6766, 0.6766)
Ge (0.5132, 0.8269, 0.8269)
Ge (0.5411, 0.5411, 0.5411)
Ge (0.6766, 0.1713, 0.6766)
Ge (0.6766, 0.6766, 0.1713)
Ge (0.8269, 0.5132, 0.8269)
Ge (0.8269, 0.8269, 0.5132)
H (0.7348, 0.7348, 0.7348)
O (0.0122, 0.4221, 0.4221)
O (0.0587, 0.5320, 0.8119)
O (0.0587, 0.8119, 0.5320)
O (0.0699, 0.0699, 0.0699)
O (0.2827, 0.8153, 0.8153)
O (0.3054, 0.5478, 0.5478)
O (0.4221, 0.0122, 0.4221)
O (0.4221, 0.4221, 0.0122)
O (0.5320, 0.0587, 0.8119)
O (0.5320, 0.8119, 0.0587)
O (0.5478, 0.3054, 0.5478)
O (0.5478, 0.5478, 0.3054)
O (0.5684, 0.5684, 0.7988)
O (0.5684, 0.7988, 0.5684)
O (0.7988, 0.5684, 0.5684)
O (0.8064, 0.8064, 0.8064)
O (0.8119, 0.0587, 0.5320)
O (0.8119, 0.5320, 0.0587)
O (0.8152, 0.2827, 0.8152)
O (0.8152, 0.8153, 0.2827)

---

Record 6
Diffraction record for K3GeH3S3O2. The powder diffraction line list is computed, not measured: it uses the PBE geometry in Alexandria and Cu Kα (λ = 1.5418 Å).

Top 10 peaks for 2θ = 10–90°, most intense first:
two_theta  intensity
30.83  100
28.34  94
29.52  81
15.28  69
22.66  63
12.39  55
17.61  54
32.79  51
15.50  40
30.50  39

Cell: 6.7661 7.6031 10.1889 Å, 87.77 81.57 70.04°
Fractional positions:
K (0.1089, 0.3866, 0.2241)
K (0.2569, 0.8698, 0.0662)
K (0.2646, 0.7318, 0.4521)
K (0.7354, 0.2682, 0.5479)
K (0.7431, 0.1302, 0.9338)
K (0.8911, 0.6134, 0.7759)
Ge (0.3072, 0.1043, 0.7257)
Ge (0.6928, 0.8957, 0.2743)
H (0.3523, 0.0807, 0.3803)
H (0.4411, 0.4237, 0.8248)
H (0.4456, 0.6152, 0.7689)
H (0.5544, 0.3848, 0.2311)
H (0.5589, 0.5763, 0.1752)
H (0.6477, 0.9193, 0.6197)
S (0.1782, 0.8727, 0.7529)
S (0.2148, 0.2858, 0.5543)
S (0.2353, 0.2680, 0.9119)
S (0.7647, 0.7320, 0.0881)
S (0.7852, 0.7142, 0.4457)
S (0.8218, 0.1273, 0.2471)
O (0.3971, 0.0010, 0.2982)
O (0.4557, 0.5138, 0.2153)
O (0.5443, 0.4862, 0.7847)
O (0.6029, 0.9990, 0.7018)

---

Record 7
Diffraction record for La4GeH. The powder diffraction line list is computed, not measured: it uses the PBE geometry in Alexandria and Cu Kα (λ = 1.5418 Å).

Top 10 peaks for 2θ = 10–90°, most intense first:
two_theta  intensity
30.57  100
27.96  91
30.98  82
28.16  81
30.17  65
31.14  57
31.71  54
38.70  44
29.54  36
35.03  35

Cell: 7.3117 7.3545 7.3833 Å, 105.28 91.36 114.51°
Fractional positions:
La (0.0105, 0.2049, 0.4920)
La (0.1659, 0.2155, 0.9620)
La (0.2830, 0.7424, 0.8483)
La (0.4627, 0.7156, 0.3370)
La (0.5373, 0.2844, 0.6630)
La (0.7170, 0.2576, 0.1517)
La (0.8341, 0.7845, 0.0380)
La (0.9895, 0.7951, 0.5080)
Ge (0.2943, 0.0348, 0.2584)
Ge (0.7057, 0.9652, 0.7416)
H (0.0000, 0.5000, 0.5000)
H (0.5000, 0.5000, 0.0000)

---

Record 8
Diffraction record for La4Ge2H. The powder diffraction line list is computed, not measured: it uses the PBE geometry in Alexandria and Cu Kα (λ = 1.5418 Å).

Top 10 peaks for 2θ = 10–90°, most intense first:
two_theta  intensity
28.96  100
34.39  56
38.46  51
51.27  33
32.63  32
50.67  28
31.70  26
63.83  21
55.52  17
66.97  16

Cell: 9.0908 9.0908 9.0908 Å, 150.16 150.16 42.71°
Fractional positions:
La (0.0000, 0.5000, 0.5000)
La (0.1838, 0.1838, 0.0000)
La (0.5000, 0.0000, 0.5000)
La (0.8162, 0.8162, 0.0000)
Ge (0.3662, 0.3662, 0.0000)
Ge (0.6338, 0.6338, 0.0000)
H (0.0000, 0.0000, 0.0000)